# Cs2CoOsO6
Simulated X-ray powder pattern, Cu Kα (λ = 1.5418 Å). Input: a DFT-relaxed cell (PBE+U, Alexandria).
Kinematic intensities with the Lorentz-polarization factor, no thermal factor.

Principal peaks in the range 10° ≤ 2θ ≤ 80°, most intense first:
Position (°2θ)	I (rel.)	(hkl)
27.4	100	1 1 0
24.0	74	0 1 1
15.7	43	1 0 0
36.7	41	2 0 1
39.9	35	1 0 2
57.2	34	2 1 2
49.1	28	0 2 2
46.4	21	1 2 1
48.5	19	3 0 0
56.6	17	2 2 0

Structure:
```
data_Cs2CoOsO6
_chemical_formula_sum 'Cs2 Co1 Os1 O6'
_cell_length_a 6.5071
_cell_length_b 6.5071
_cell_length_c 4.9265
_cell_angle_alpha 90.00
_cell_angle_beta 90.00
_cell_angle_gamma 120.00
_space_group_name_H-M_alt 'P -3 m 1'
_space_group_IT_number 164
_space_group_name_Hall '-P 3 2"'
loop_
_atom_site_label
_atom_site_type_symbol
_atom_site_fract_x
_atom_site_fract_y
_atom_site_fract_z
Cs1 Cs 0.3333 0.6667 0.2758
Co1 Co 0.0000 0.0000 0.5000
Os1 Os 0.0000 0.0000 0.0000
O1 O 0.1316 0.2633 0.7518
```